No. 1
This entry pairs a crystal structure of CePuPa4N8 with its computed powder X-ray diffraction pattern. Radiation: Cu Kα (weighted mean of Kα1 and Kα2). Structure: a PBE-relaxed structure.
Lines closer than 0.1° are merged.

Top 8 peaks for 2θ = 10–90°, by angle:
d_spacing, 2θ (°), Rel. int., hkl
3.000, 29.78, 52, 0 2 1
2.982, 29.96, 100, 1 1 3
2.947, 30.33, 55, 0 1 5
2.867, 31.20, 63, 2 0 2
1.911, 47.58, 29, 0 3 3
1.902, 47.82, 34, 1 2 5
1.761, 51.94, 42, 2 2 0
1.732, 52.86, 39, 2 0 8

Structure:
```
data_CePuPa4N8
_chemical_formula_sum 'Ce3 Pu3 Pa12 N24'
_space_group_name_H-M_alt 'R 3 m'
_space_group_IT_number 160
_space_group_name_Hall 'R 3 -2"'
_cell_length_a 7.0420
_cell_length_b 7.0420
_cell_length_c 16.8333
_cell_angle_alpha 90.00
_cell_angle_beta 90.00
_cell_angle_gamma 120.00
loop_
_atom_site_label
_atom_site_type_symbol
_atom_site_fract_x
_atom_site_fract_y
_atom_site_fract_z
Ce1 Ce 0.0000 0.0000 0.0000
Pu1 Pu 0.0000 0.0000 0.6178
Pa1 Pa 0.0000 0.0000 0.2410
Pa2 Pa 0.1676 0.3352 0.4525
N1 N 0.0000 0.0000 0.3802
N2 N 0.0000 0.0000 0.8533
N3 N 0.0433 0.5216 0.3776
N4 N 0.1715 0.3430 0.1913
```

No. 2
This entry pairs a crystal structure of CePa2RuN5 with its computed powder X-ray diffraction pattern. Radiation: Cu Kα (weighted mean of Kα1 and Kα2). Structure: a PBE-relaxed structure.
Lines closer than 0.1° are merged.

Top 8 peaks for 2θ = 10–90°, by angle:
d_spacing, 2θ (°), Rel. int., hkl
5.869, 15.10, 26, 0 0 2
2.934, 30.46, 46, 0 0 4
2.850, 31.39, 100, 2 0 2
2.830, 31.62, 66, 2 1 1
2.338, 38.51, 58, 2 1 3
1.828, 49.87, 27, 2 1 5
1.677, 54.72, 22, 2 0 6
1.466, 63.44, 26, 0 0 8

Structure:
```
data_CePa2RuN5
_chemical_formula_sum 'Ce4 Pa8 Ru4 N20'
_space_group_name_H-M_alt 'I 4/m c m'
_space_group_IT_number 140
_space_group_name_Hall '-I 4 2c'
_cell_length_a 6.5192
_cell_length_b 6.5192
_cell_length_c 11.7374
_cell_angle_alpha 90.00
_cell_angle_beta 90.00
_cell_angle_gamma 90.00
loop_
_atom_site_label
_atom_site_type_symbol
_atom_site_fract_x
_atom_site_fract_y
_atom_site_fract_z
Ce1 Ce 0.0000 0.0000 0.2500
Pa1 Pa 0.1767 0.3233 0.0000
Ru1 Ru 0.0000 0.5000 0.2500
N1 N 0.0000 0.0000 0.0000
N2 N 0.1479 0.3521 0.3708
```

No. 3
This entry pairs a crystal structure of CePaSbN2 with its computed powder X-ray diffraction pattern. Radiation: Cu Kα (weighted mean of Kα1 and Kα2). Structure: a PBE-relaxed structure.
Lines closer than 0.1° are merged.

Top 8 peaks for 2θ = 10–90°, by angle:
d_spacing, 2θ (°), Rel. int., hkl
3.780, 23.54, 9, 1 0 1
2.883, 31.02, 100, 1 0 3
2.801, 31.95, 42, 1 1 0
1.981, 45.81, 19, 2 0 0
1.681, 54.60, 22, 1 1 6
1.633, 56.35, 37, 2 1 3
1.441, 64.67, 11, 2 0 6
1.099, 89.11, 10, 2 1 9

Structure:
```
data_CePaSbN2
_chemical_formula_sum 'Ce2 Pa2 Sb2 N4'
_space_group_name_H-M_alt 'I 4 m m'
_space_group_IT_number 107
_space_group_name_Hall 'I 4 -2'
_cell_length_a 3.9618
_cell_length_b 3.9618
_cell_length_c 12.6074
_cell_angle_alpha 90.00
_cell_angle_beta 90.00
_cell_angle_gamma 90.00
loop_
_atom_site_label
_atom_site_type_symbol
_atom_site_fract_x
_atom_site_fract_y
_atom_site_fract_z
Ce1 Ce 0.0000 0.0000 0.0000
Pa1 Pa 0.0000 0.0000 0.3187
Sb1 Sb 0.0000 0.0000 0.6586
N1 N 0.0000 0.5000 0.4005
```

No. 4
This entry pairs a crystal structure of CePaSe2N with its computed powder X-ray diffraction pattern. Radiation: Cu Kα (weighted mean of Kα1 and Kα2). Structure: a PBE-relaxed structure.
Lines closer than 0.1° are merged.

Top 8 peaks for 2θ = 10–90°, by angle:
d_spacing, 2θ (°), Rel. int., hkl
3.531, 25.22, 28, 0 0 4
3.484, 25.57, 45, 1 0 2
3.051, 29.27, 33, 1 0 3
2.832, 31.59, 100, 1 1 0
2.649, 33.84, 69, 1 0 4
2.210, 40.84, 38, 1 1 4
2.003, 45.28, 42, 2 0 0
1.598, 57.70, 30, 2 1 4

Structure:
```
data_CePaSe2N
_chemical_formula_sum 'Ce2 Pa2 Se4 N2'
_space_group_name_H-M_alt 'P 4/n m m'
_space_group_IT_number 129
_cell_length_a 4.0057
_cell_length_b 4.0057
_cell_length_c 14.1259
_cell_angle_alpha 90.00
_cell_angle_beta 90.00
_cell_angle_gamma 90.00
loop_
_space_group_symop_operation_xyz
'x,y,z'
'-x,-y,-z'
'-y+1/2,x,z'
'y+1/2,-x,-z'
'-x+1/2,-y+1/2,z'
'x+1/2,y+1/2,-z'
'y,-x+1/2,z'
'-y,x+1/2,-z'
'x+1/2,-y,-z'
'-x+1/2,y,z'
'-y,-x,-z'
'y,x,z'
'-x,y+1/2,-z'
'x,-y+1/2,z'
'y+1/2,x+1/2,-z'
'-y+1/2,-x+1/2,z'
loop_
_atom_site_label
_atom_site_type_symbol
_atom_site_fract_x
_atom_site_fract_y
_atom_site_fract_z
Ce1 Ce 0.2500 0.2500 0.1023
Pa1 Pa 0.2500 0.2500 0.5819
Se1 Se 0.2500 0.2500 0.3148
Se2 Se 0.2500 0.2500 0.8864
N1 N 0.2500 0.7500 0.5000
```

No. 5
This entry pairs a crystal structure of Ce2PaSiN5 with its computed powder X-ray diffraction pattern. Radiation: Cu Kα (weighted mean of Kα1 and Kα2). Structure: a PBE-relaxed structure.
Lines closer than 0.1° are merged.

Top 8 peaks for 2θ = 10–90°, by angle:
d_spacing, 2θ (°), Rel. int., hkl
3.549, 25.09, 72, 1 1 1
2.853, 31.35, 44, 0 0 2
2.794, 32.03, 100, 2 0 1
2.562, 35.03, 49, 2 1 1
2.266, 39.78, 23, 2 2 0
2.027, 44.71, 37, 3 1 0
2.022, 44.82, 31, 2 1 2
1.652, 55.62, 30, 3 1 2

Structure:
```
data_Ce2PaSiN5
_chemical_formula_sum 'Ce4 Pa2 Si2 N10'
_space_group_name_H-M_alt 'P 4/m b m'
_space_group_IT_number 127
_space_group_name_Hall '-P 4 2ab'
_cell_length_a 6.4098
_cell_length_b 6.4098
_cell_length_c 5.7067
_cell_angle_alpha 90.00
_cell_angle_beta 90.00
_cell_angle_gamma 90.00
loop_
_atom_site_label
_atom_site_type_symbol
_atom_site_fract_x
_atom_site_fract_y
_atom_site_fract_z
Ce1 Ce 0.1697 0.3303 0.0000
Pa1 Pa 0.0000 0.0000 0.5000
Si1 Si 0.0000 0.5000 0.5000
N1 N 0.0000 0.0000 0.0000
N2 N 0.1465 0.6465 0.2839
```

No. 6
This entry pairs a crystal structure of Ce2PaSnN5 with its computed powder X-ray diffraction pattern. Radiation: Cu Kα (weighted mean of Kα1 and Kα2). Structure: a PBE-relaxed structure.
Lines closer than 0.1° are merged.

Top 8 peaks for 2θ = 10–90°, by angle:
d_spacing, 2θ (°), Rel. int., hkl
3.268, 27.29, 30, 1 1 1
3.011, 29.67, 100, 0 4 2
2.933, 30.47, 42, 1 1 2
2.883, 31.02, 43, 0 0 4
2.814, 31.80, 32, 1 3 0
2.550, 35.20, 30, 1 1 3
1.674, 54.84, 30, 1 7 2
1.517, 61.11, 27, 2 4 2

Structure:
```
data_Ce2PaSnN5
_chemical_formula_sum 'Ce8 Pa4 Sn4 N20'
_space_group_name_H-M_alt 'C m c 21'
_space_group_IT_number 36
_cell_length_a 3.5110
_cell_length_b 14.1218
_cell_length_c 11.5323
_cell_angle_alpha 90.00
_cell_angle_beta 90.00
_cell_angle_gamma 90.00
loop_
_space_group_symop_operation_xyz
'x,y,z'
'-x,-y,z+1/2'
'-x,y,z'
'x,-y,z+1/2'
'x+1/2,y+1/2,z'
'-x+1/2,-y+1/2,z+1/2'
'-x+1/2,y+1/2,z'
'x+1/2,-y+1/2,z+1/2'
loop_
_atom_site_label
_atom_site_type_symbol
_atom_site_fract_x
_atom_site_fract_y
_atom_site_fract_z
Ce1 Ce 0.0000 0.1281 0.0000
Ce2 Ce 0.0000 0.1291 0.5194
Pa1 Pa 0.0000 0.2393 0.2714
Sn1 Sn 0.0000 0.4967 0.7520
N1 N 0.0000 0.0748 0.3019
N2 N 0.0000 0.2677 0.6372
N3 N 0.0000 0.2769 0.9045
N4 N 0.0000 0.3814 0.3541
N5 N 0.0000 0.4840 0.0720
```

No. 7
This entry pairs a crystal structure of Sr4Ce3PaN8 with its computed powder X-ray diffraction pattern. Radiation: Cu Kα (weighted mean of Kα1 and Kα2). Structure: a PBE-relaxed structure.
Lines closer than 0.1° are merged.

Top 8 peaks for 2θ = 10–90°, by angle:
d_spacing, 2θ (°), Rel. int., hkl
5.998, 14.77, 28, 0 0 3
3.003, 29.75, 34, 0 0 6
2.984, 29.95, 96, 2 0 2
2.588, 34.66, 100, 0 2 4
1.834, 49.70, 34, 2 0 8
1.826, 49.96, 35, 2 2 0
1.560, 59.23, 30, 2 2 6
1.492, 62.23, 17, 4 0 4

Structure:
```
data_Sr4Ce3PaN8
_chemical_formula_sum 'Sr12 Ce9 Pa3 N24'
_space_group_name_H-M_alt 'R -3 m'
_space_group_IT_number 166
_space_group_name_Hall '-R 3 2"'
_cell_length_a 7.3025
_cell_length_b 7.3025
_cell_length_c 18.0156
_cell_angle_alpha 90.00
_cell_angle_beta 90.00
_cell_angle_gamma 120.00
loop_
_atom_site_label
_atom_site_type_symbol
_atom_site_fract_x
_atom_site_fract_y
_atom_site_fract_z
Sr1 Sr 0.0000 0.0000 0.0000
Sr2 Sr 0.0000 0.5000 0.0000
Ce1 Ce 0.0000 0.5000 0.5000
Pa1 Pa 0.0000 0.0000 0.5000
N1 N 0.0000 0.0000 0.2348
N2 N 0.0141 0.5071 0.2346
```

No. 8
This entry pairs a crystal structure of Sr2CePaN4 with its computed powder X-ray diffraction pattern. Radiation: Cu Kα (weighted mean of Kα1 and Kα2). Structure: a PBE-relaxed structure.
Lines closer than 0.1° are merged.

Top 8 peaks for 2θ = 10–90°, by angle:
d_spacing, 2θ (°), Rel. int., hkl
6.004, 14.75, 31, 0 0 1
3.002, 29.76, 35, 0 0 2
2.977, 30.01, 99, 2 0 0
2.584, 34.72, 100, 1 1 1
1.833, 49.75, 34, 2 0 2
1.821, 50.08, 35, 0 2 0
1.558, 59.31, 21, 3 1 1
1.555, 59.44, 21, 3 1 -3

Structure:
```
data_Sr2CePaN4
_chemical_formula_sum 'Sr2 Ce1 Pa1 N4'
_space_group_name_H-M_alt 'P 1 2/m 1'
_space_group_IT_number 10
_cell_length_a 6.3040
_cell_length_b 3.6462
_cell_length_c 6.3560
_cell_angle_alpha 90.00
_cell_angle_beta 109.16
_cell_angle_gamma 90.00
loop_
_space_group_symop_operation_xyz
'x,y,z'
'-x,-y,-z'
'-x,y,-z'
'x,-y,z'
loop_
_atom_site_label
_atom_site_type_symbol
_atom_site_fract_x
_atom_site_fract_y
_atom_site_fract_z
Sr1 Sr 0.0000 0.0000 0.0000
Sr2 Sr 0.5000 0.5000 0.0000
Ce1 Ce 0.0000 0.5000 0.5000
Pa1 Pa 0.5000 0.0000 0.5000
N1 N 0.2526 0.0000 0.7004
N2 N 0.2799 0.5000 0.3003
```